[1]
Diffraction record for LiV2P3O11. The X-ray powder pattern is computed, not measured: it uses a structure optimized by DFT (PBE+U) and a wavelength of 1.5418 Å.
Intensities are scaled so that the largest is 100.

Structure:
```
data_LiV2P3O11
_space_group_name_H-M_alt 'C 1 2 1'
_space_group_IT_number 5
_cell_length_a 11.687
_cell_length_b 8.701
_cell_length_c 8.820
_cell_angle_alpha 90.00
_cell_angle_beta 114.62
_cell_angle_gamma 90.00
loop_
_space_group_symop_operation_xyz
'x,y,z'
'-x,y,-z'
'x+1/2,y+1/2,z'
'-x+1/2,y+1/2,-z'
loop_
_atom_site_label
_atom_site_type_symbol
_atom_site_fract_x
_atom_site_fract_y
_atom_site_fract_z
Li1 Li 0.249 0.000 0.261
V1 V 0.124 0.473 0.291
V2 V 0.124 0.996 0.792
P1 P 0.000 0.191 0.000
P2 P 0.000 0.278 0.500
P3 P 0.112 0.671 0.964
P4 P 0.113 0.799 0.465
O1 O 0.000 0.724 0.500
O2 O 0.000 0.746 0.000
O3 O 0.058 0.564 0.814
O4 O 0.060 0.905 0.314
O5 O 0.069 0.180 0.657
O6 O 0.070 0.287 0.157
O7 O 0.103 0.086 0.985
O8 O 0.103 0.383 0.484
O9 O 0.186 0.805 0.942
O10 O 0.187 0.662 0.447
O11 O 0.188 0.579 0.126
O12 O 0.188 0.891 0.627
```

Peak list (8 most intense, 2θ = 10–90°, by angle)
- d 5.993, 14.78 deg, I = 79
- d 5.312, 16.69 deg, I = 29
- d 4.593, 19.33 deg, I = 82
- d 3.824, 23.26 deg, I = 51
- d 3.220, 27.71 deg, I = 51
- d 2.948, 30.32 deg, I = 100
- d 2.627, 34.13 deg, I = 27
- d 2.418, 37.18 deg, I = 29

[2]
Diffraction record for Li2VP2O8. The X-ray powder pattern is computed, not measured: it uses a structure optimized by DFT (PBE+U) and a wavelength of 1.5418 Å.
Intensities are scaled so that the largest is 100.

Structure:
```
data_Li2VP2O8
_space_group_name_H-M_alt 'P 1 21/c 1'
_space_group_IT_number 14
_cell_length_a 7.553
_cell_length_b 12.624
_cell_length_c 6.273
_cell_angle_alpha 90.00
_cell_angle_beta 97.90
_cell_angle_gamma 90.00
loop_
_space_group_symop_operation_xyz
'x,y,z'
'-x,-y,-z'
'-x,y+1/2,-z+1/2'
'x,-y+1/2,z+1/2'
loop_
_atom_site_label
_atom_site_type_symbol
_atom_site_fract_x
_atom_site_fract_y
_atom_site_fract_z
Li1 Li 0.055 0.115 0.457
Li2 Li 0.407 0.228 0.304
V1 V 0.274 0.580 0.748
P1 P 0.139 0.142 0.962
P2 P 0.328 0.525 0.260
O1 O 0.027 0.642 0.710
O2 O 0.127 0.074 0.160
O3 O 0.200 0.538 0.046
O4 O 0.214 0.247 0.511
O5 O 0.274 0.599 0.431
O6 O 0.299 0.094 0.838
O7 O 0.403 0.682 0.831
O8 O 0.476 0.034 0.271
```

Peak list (8 most intense, 2θ = 10–90°, by angle)
- d 6.312, 14.03 deg, I = 100
- d 5.575, 15.90 deg, I = 24
- d 4.428, 20.05 deg, I = 48
- d 3.741, 23.79 deg, I = 46
- d 3.667, 24.28 deg, I = 55
- d 3.587, 24.82 deg, I = 30
- d 2.938, 30.42 deg, I = 34
- d 2.789, 32.09 deg, I = 34